(1)
The following is a computed X-ray powder pattern of Mo2PdRh2. It was derived from the PBE geometry in the Materials Project, using CuKα.

Largest 6 diffraction maxima, low angle first, 10 to 90 degrees two-theta:
37.38 deg, I 24; 40.11 deg, I 26; 42.62 deg, I 100; 67.42 deg, I 17; 74.60 deg, I 18; 81.44 deg, I 19

a = 2.778 Å, b = 2.778 Å, c = 22.482 Å
α = 90.00°, β = 90.00°, γ = 120.00°
Fractional coordinates of all 10 atoms:
Mo (0.000, 0.000, 0.000)
Mo (0.000, 0.000, 0.197)
Mo (0.000, 0.000, 0.800)
Mo (0.667, 0.333, 0.304)
Pd (0.000, 0.000, 0.402)
Pd (0.000, 0.000, 0.602)
Rh (0.667, 0.333, 0.099)
Rh (0.667, 0.333, 0.503)
Rh (0.667, 0.333, 0.706)
Rh (0.667, 0.333, 0.901)

(2)
The following is a computed X-ray powder pattern of MoPdRu2. It was derived from the PBE geometry in the Materials Project, using CuKα.

Largest 6 diffraction maxima, low angle first, 10 to 90 degrees two-theta:
37.44 deg, I 25; 40.57 deg, I 26; 42.79 deg, I 100; 67.55 deg, I 17; 75.34 deg, I 17; 81.87 deg, I 19

a = 2.773 Å, b = 2.773 Å, c = 8.895 Å
α = 90.00°, β = 90.00°, γ = 120.00°
Fractional coordinates of all 4 atoms:
Mo (0.000, 0.000, 0.000)
Pd (0.000, 0.000, 0.500)
Ru (0.667, 0.333, 0.242)
Ru (0.667, 0.333, 0.758)

(3)
The following is a computed X-ray powder pattern of Ti2MoPd. It was derived from the PBE geometry in the Materials Project, using CuKα.

Largest 6 diffraction maxima, low angle first, 10 to 90 degrees two-theta:
28.30 deg, I 18; 40.45 deg, I 100; 58.54 deg, I 16; 66.27 deg, I 7; 73.57 deg, I 32; 87.49 deg, I 10

a = 4.460 Å, b = 4.460 Å, c = 4.460 Å
α = 60.00°, β = 60.00°, γ = 60.00°
Fractional coordinates of all 4 atoms:
Ti (0.250, 0.250, 0.250)
Ti (0.750, 0.750, 0.750)
Mo (0.000, 0.000, 0.000)
Pd (0.500, 0.500, 0.500)

(4)
The following is a computed X-ray powder pattern of PrMo3. It was derived from the PBE geometry in the Materials Project, using CuKα.

Largest 6 diffraction maxima, low angle first, 10 to 90 degrees two-theta:
30.33 deg, I 25; 36.63 deg, I 100; 40.49 deg, I 17; 40.76 deg, I 21; 50.84 deg, I 17; 60.35 deg, I 16

a = 6.807 Å, b = 6.807 Å, c = 4.428 Å
α = 90.00°, β = 90.00°, γ = 120.00°
Fractional coordinates of all 8 atoms:
Pr (0.333, 0.667, 0.250)
Pr (0.667, 0.333, 0.750)
Mo (0.130, 0.260, 0.750)
Mo (0.130, 0.870, 0.750)
Mo (0.260, 0.130, 0.250)
Mo (0.740, 0.870, 0.750)
Mo (0.870, 0.130, 0.250)
Mo (0.870, 0.740, 0.250)

(5)
The following is a computed X-ray powder pattern of PrMo6S8. It was derived from the PBE geometry in the Materials Project, using CuKα.

Largest 6 diffraction maxima, low angle first, 10 to 90 degrees two-theta:
13.50 deg, I 100; 18.95 deg, I 68; 30.72 deg, I 75; 33.58 deg, I 66; 41.67 deg, I 78; 45.98 deg, I 96

a = 6.560 Å, b = 6.560 Å, c = 6.560 Å
α = 88.87°, β = 88.87°, γ = 88.87°
Fractional coordinates of all 15 atoms:
Pr (0.000, 0.000, 0.000)
Mo (0.227, 0.419, 0.563)
Mo (0.419, 0.563, 0.227)
Mo (0.437, 0.773, 0.581)
Mo (0.563, 0.227, 0.419)
Mo (0.581, 0.437, 0.773)
Mo (0.773, 0.581, 0.437)
S (0.126, 0.749, 0.376)
S (0.244, 0.244, 0.244)
S (0.251, 0.624, 0.874)
S (0.376, 0.126, 0.749)
S (0.624, 0.874, 0.251)
S (0.749, 0.376, 0.126)
S (0.756, 0.756, 0.756)
S (0.874, 0.251, 0.624)

(6)
The following is a computed X-ray powder pattern of PrMo6Se8. It was derived from the PBE geometry in the Materials Project, using CuKα.

Largest 6 diffraction maxima, low angle first, 10 to 90 degrees two-theta:
12.95 deg, I 59; 32.17 deg, I 40; 32.37 deg, I 45; 39.88 deg, I 64; 41.54 deg, I 48; 44.00 deg, I 100

a = 6.839 Å, b = 6.839 Å, c = 6.839 Å
α = 88.92°, β = 88.92°, γ = 88.92°
Fractional coordinates of all 15 atoms:
Pr (0.000, 0.000, 0.000)
Mo (0.237, 0.422, 0.561)
Mo (0.422, 0.561, 0.237)
Mo (0.439, 0.763, 0.578)
Mo (0.561, 0.237, 0.422)
Mo (0.578, 0.439, 0.763)
Mo (0.763, 0.578, 0.439)
Se (0.121, 0.752, 0.378)
Se (0.241, 0.241, 0.241)
Se (0.248, 0.622, 0.879)
Se (0.378, 0.121, 0.752)
Se (0.622, 0.879, 0.248)
Se (0.752, 0.378, 0.121)
Se (0.759, 0.759, 0.759)
Se (0.879, 0.248, 0.622)

(7)
The following is a computed X-ray powder pattern of MoPt. It was derived from the PBE geometry in the Materials Project, using CuKα.

Largest 6 diffraction maxima, low angle first, 10 to 90 degrees two-theta:
37.27 deg, I 25; 40.02 deg, I 40; 41.50 deg, I 55; 42.50 deg, I 100; 74.40 deg, I 22; 79.82 deg, I 22

a = 4.506 Å, b = 2.760 Å, c = 4.970 Å
α = 90.00°, β = 90.00°, γ = 90.00°
Fractional coordinates of all 4 atoms:
Mo (0.250, 0.000, 0.165)
Mo (0.750, 0.000, 0.835)
Pt (0.250, 0.500, 0.666)
Pt (0.750, 0.500, 0.334)

(8)
The following is a computed X-ray powder pattern of MoPt2. It was derived from the PBE geometry in the Materials Project, using CuKα.

Largest 6 diffraction maxima, low angle first, 10 to 90 degrees two-theta:
39.31 deg, I 100; 39.61 deg, I 98; 45.31 deg, I 38; 46.18 deg, I 63; 66.69 deg, I 43; 80.68 deg, I 25

a = 4.848 Å, b = 4.848 Å, c = 4.848 Å
α = 146.86°, β = 131.23°, γ = 60.24°
Fractional coordinates of all 3 atoms:
Mo (0.000, 0.000, 0.000)
Pt (0.336, 0.336, 0.000)
Pt (0.664, 0.664, 0.000)

(9)
The following is a computed X-ray powder pattern of MoPt. It was derived from the PBE geometry in the Materials Project, using CuKα.

Largest 6 diffraction maxima, low angle first, 10 to 90 degrees two-theta:
36.64 deg, I 27; 40.04 deg, I 38; 41.94 deg, I 100; 42.11 deg, I 51; 74.04 deg, I 19; 80.27 deg, I 20

a = 4.504 Å, b = 5.646 Å, c = 5.646 Å
α = 60.33°, β = 90.00°, γ = 90.00°
Fractional coordinates of all 8 atoms:
Mo (0.000, 0.000, 0.000)
Mo (0.000, 0.004, 0.486)
Mo (0.000, 0.486, 0.004)
Mo (0.500, 0.332, 0.332)
Pt (0.000, 0.500, 0.500)
Pt (0.500, 0.336, 0.831)
Pt (0.500, 0.831, 0.336)
Pt (0.500, 0.833, 0.833)

(10)
The following is a computed X-ray powder pattern of Mo3Pt. It was derived from the PBE geometry in the Materials Project, using CuKα.

Largest 6 diffraction maxima, low angle first, 10 to 90 degrees two-theta:
25.08 deg, I 22; 35.76 deg, I 45; 40.16 deg, I 60; 44.18 deg, I 100; 70.12 deg, I 51; 86.72 deg, I 15

a = 5.021 Å, b = 5.021 Å, c = 5.021 Å
α = 90.00°, β = 90.00°, γ = 90.00°
Fractional coordinates of all 8 atoms:
Mo (0.000, 0.250, 0.500)
Mo (0.000, 0.750, 0.500)
Mo (0.250, 0.500, 0.000)
Mo (0.500, 0.000, 0.250)
Mo (0.500, 0.000, 0.750)
Mo (0.750, 0.500, 0.000)
Pt (0.000, 0.000, 0.000)
Pt (0.500, 0.500, 0.500)

(11)
The following is a computed X-ray powder pattern of MoPt. It was derived from the PBE geometry in the Materials Project, using CuKα.

Largest 6 diffraction maxima, low angle first, 10 to 90 degrees two-theta:
36.78 deg, I 31; 39.82 deg, I 25; 42.02 deg, I 100; 55.32 deg, I 19; 73.80 deg, I 19; 80.17 deg, I 20

a = 2.821 Å, b = 2.821 Å, c = 4.527 Å
α = 90.00°, β = 90.00°, γ = 120.00°
Fractional coordinates of all 2 atoms:
Mo (0.000, 0.000, 0.000)
Pt (0.667, 0.333, 0.500)

(12)
The following is a computed X-ray powder pattern of Mo3Pt. It was derived from the PBE geometry in the Materials Project, using CuKα.

Largest 6 diffraction maxima, low angle first, 10 to 90 degrees two-theta:
22.37 deg, I 11; 39.27 deg, I 100; 45.66 deg, I 48; 66.55 deg, I 31; 80.09 deg, I 38; 84.44 deg, I 11

a = 3.974 Å, b = 3.974 Å, c = 3.974 Å
α = 90.00°, β = 90.00°, γ = 90.00°
Fractional coordinates of all 4 atoms:
Mo (0.000, 0.000, 0.500)
Mo (0.000, 0.500, 0.000)
Mo (0.500, 0.000, 0.000)
Pt (0.500, 0.500, 0.500)

(13)
The following is a computed X-ray powder pattern of Si4MoPt3. It was derived from the PBE geometry in the Materials Project, using CuKα.

Largest 6 diffraction maxima, low angle first, 10 to 90 degrees two-theta:
27.58 deg, I 81; 31.25 deg, I 81; 32.18 deg, I 73; 42.29 deg, I 100; 42.88 deg, I 72; 45.47 deg, I 67

a = 5.563 Å, b = 3.521 Å, c = 24.577 Å
α = 90.00°, β = 90.00°, γ = 90.00°
Fractional coordinates of all 32 atoms:
Si (0.160, 0.250, 0.110)
Si (0.169, 0.250, 0.726)
Si (0.179, 0.250, 0.480)
Si (0.180, 0.250, 0.854)
Si (0.320, 0.750, 0.354)
Si (0.321, 0.750, 0.980)
Si (0.331, 0.750, 0.226)
Si (0.340, 0.750, 0.610)
Si (0.660, 0.250, 0.390)
Si (0.669, 0.250, 0.774)
Si (0.679, 0.250, 0.020)
Si (0.680, 0.250, 0.646)
Si (0.820, 0.750, 0.146)
Si (0.821, 0.750, 0.520)
Si (0.831, 0.750, 0.274)
Si (0.840, 0.750, 0.890)
Mo (0.004, 0.250, 0.210)
Mo (0.496, 0.750, 0.710)
Mo (0.504, 0.250, 0.290)
Mo (0.996, 0.750, 0.790)
Pt (0.001, 0.750, 0.425)
Pt (0.002, 0.750, 0.048)
Pt (0.003, 0.250, 0.330)
Pt (0.497, 0.750, 0.830)
Pt (0.498, 0.250, 0.548)
Pt (0.499, 0.250, 0.925)
Pt (0.501, 0.750, 0.075)
Pt (0.502, 0.750, 0.452)
Pt (0.503, 0.250, 0.170)
Pt (0.997, 0.750, 0.670)
Pt (0.998, 0.250, 0.952)
Pt (0.999, 0.250, 0.575)

(14)
The following is a computed X-ray powder pattern of Si3MoPt2. It was derived from the PBE geometry in the Materials Project, using CuKα.

Largest 6 diffraction maxima, low angle first, 10 to 90 degrees two-theta:
27.17 deg, I 60; 32.01 deg, I 57; 32.33 deg, I 51; 42.30 deg, I 100; 42.72 deg, I 54; 46.14 deg, I 46

a = 3.511 Å, b = 9.251 Å, c = 5.538 Å
α = 90.00°, β = 90.00°, γ = 90.00°
Fractional coordinates of all 12 atoms:
Si (0.000, 0.065, 0.000)
Si (0.000, 0.277, 0.512)
Si (0.000, 0.723, 0.012)
Si (0.000, 0.935, 0.500)
Si (0.500, 0.373, 0.172)
Si (0.500, 0.627, 0.672)
Mo (0.500, 0.105, 0.327)
Mo (0.500, 0.895, 0.827)
Pt (0.000, 0.470, 0.829)
Pt (0.000, 0.530, 0.329)
Pt (0.500, 0.214, 0.827)
Pt (0.500, 0.786, 0.327)